Structure and theoretical XRD peak list of TiFe3Sn2P6O24 (a crystal structure in the Materials Project, relaxed with GGA+U; Cu Kα, 1.54184 Å).

Principal peaks in the range 15 to 90 degrees two-theta, low angle first:
2θ (°)  I (rel.)
20.48  93.4
23.79  58.4
25.03  25.1
31.82  100.0
32.55  17.2
35.86  34.7
45.76  26.4
48.69  32.1
56.10  23.4
61.93  23.4

Atomic structure:
```
TiFe3Sn2P6O24
1.0
4.3372 2.5041 7.3877
-4.3372 2.5041 7.3877
0.0000 -5.0082 7.3877
Ti Fe Sn P O
1 3 2 6 24
direct
0.0000 0.0000 0.0000
0.2050 0.2050 0.2050
0.5029 0.5029 0.5029
0.7046 0.7046 0.7046
0.3529 0.3529 0.3529
0.8490 0.8490 0.8490
0.1031 0.3921 0.8137
0.3152 0.8946 0.6052
0.3921 0.8137 0.1031
0.6052 0.3152 0.8946
0.8137 0.1031 0.3921
0.8946 0.6052 0.3152
0.0546 0.2277 0.8559
0.0862 0.4352 0.2935
0.1284 0.9196 0.7754
0.1553 0.3592 0.9696
0.2277 0.8559 0.0546
0.2731 0.4072 0.6226
0.2935 0.0862 0.4352
0.3439 0.7375 0.5565
0.3592 0.9696 0.1553
0.4072 0.6226 0.2731
0.4352 0.2935 0.0862
0.4745 0.8606 0.6509
0.5565 0.3439 0.7375
0.5776 0.7917 0.9345
0.6226 0.2731 0.4072
0.6509 0.4745 0.8606
0.7375 0.5565 0.3439
0.7754 0.1284 0.9196
0.7916 0.9345 0.5776
0.8559 0.0546 0.2277
0.8606 0.6509 0.4745
0.9196 0.7754 0.1284
0.9345 0.5776 0.7916
0.9696 0.1553 0.3592
```